Entry 1:
Diffraction record for TaCl5. The X-ray diffraction stick pattern is computed, not measured: it uses a crystal structure in the Materials Project, relaxed with GGA-PBE and Cu Kα (λ = 1.5418 Å).
Peak positions follow from Bragg's law for the DFT cell and can differ from measured ones.

Structural model:
Cell: 13.6697 13.6697 6.4655 Å, 91.32 91.32 87.20°
Fractional positions:
Ta1 0.1060 0.8940 0.0000
Ta2 0.2270 0.4391 0.5241
Ta3 0.4391 0.2270 0.5241
Ta4 0.5609 0.7730 0.4759
Ta5 0.7730 0.5609 0.4759
Ta6 0.8940 0.1060 0.0000
Cl1 0.0008 0.8111 0.2032
Cl2 0.0485 0.0485 0.2054
Cl3 0.0992 0.4628 0.7423
Cl4 0.1290 0.7648 0.7747
Cl5 0.1431 0.3327 0.3070
Cl6 0.1889 0.9992 0.7968
Cl7 0.2029 0.5670 0.3062
Cl8 0.2352 0.8710 0.2253
Cl9 0.2857 0.2857 0.7225
Cl10 0.3327 0.1431 0.3070
Cl11 0.3333 0.5232 0.7411
Cl12 0.3805 0.3805 0.3258
Cl13 0.4330 0.7971 0.6938
Cl14 0.4628 0.0992 0.7423
Cl15 0.4768 0.6667 0.2589
Cl16 0.5232 0.3333 0.7411
Cl17 0.5372 0.9008 0.2577
Cl18 0.5670 0.2029 0.3062
Cl19 0.6195 0.6195 0.6742
Cl20 0.6667 0.4768 0.2589
Cl21 0.6673 0.8569 0.6930
Cl22 0.7143 0.7143 0.2775
Cl23 0.7648 0.1290 0.7747
Cl24 0.7971 0.4330 0.6938
Cl25 0.8111 0.0008 0.2032
Cl26 0.8569 0.6673 0.6930
Cl27 0.8710 0.2352 0.2253
Cl28 0.9008 0.5372 0.2577
Cl29 0.9515 0.9515 0.7946
Cl30 0.9992 0.1889 0.7968

The 8 most intense peaks (2θ from 15° to 90°), low angle first:
| Position (°2θ) | Rel. int. |
| --- | --- |
| 15.0 | 62 |
| 15.3 | 100 |
| 16.1 | 69 |
| 18.8 | 69 |
| 19.5 | 39 |
| 30.4 | 49 |
| 30.8 | 44 |
| 38.9 | 40 |


Entry 2:
Diffraction record for Cd2BiAsO6. The X-ray diffraction stick pattern is computed, not measured: it uses a crystal structure in the Materials Project, relaxed with GGA-PBE and Cu Kα (λ = 1.5418 Å).
Peak positions follow from Bragg's law for the DFT cell and can differ from measured ones.

Structural model:
Cell: 7.5296 7.5296 5.5282 Å, 90.00 90.00 108.13°
Fractional positions:
Cd1 0.0931 0.3018 0.0000
Cd2 0.3018 0.0931 0.5000
Cd3 0.6982 0.9069 0.0000
Cd4 0.9069 0.6982 0.5000
Bi1 0.4065 0.5935 0.4944
Bi2 0.5935 0.4065 0.9944
As1 0.1834 0.8166 0.0402
As2 0.8166 0.1834 0.5402
O1 0.0567 0.9433 0.1840
O2 0.0864 0.5927 0.1505
O3 0.1803 0.8197 0.7252
O4 0.3433 0.3483 0.7541
O5 0.3483 0.3433 0.2541
O6 0.4073 0.9136 0.1505
O7 0.5927 0.0864 0.6505
O8 0.6517 0.6567 0.7541
O9 0.6567 0.6517 0.2541
O10 0.8197 0.1803 0.2252
O11 0.9136 0.4073 0.6505
O12 0.9433 0.0567 0.6840

The 8 most intense peaks (2θ from 15° to 90°), low angle first:
| Position (°2θ) | Rel. int. |
| --- | --- |
| 29.1 | 52 |
| 29.7 | 100 |
| 32.4 | 21 |
| 44.2 | 14 |
| 45.6 | 20 |
| 48.5 | 18 |
| 56.2 | 20 |
| 59.5 | 28 |